Diffraction record for FeNi. The powder X-ray diffraction pattern is theoretical, not measured: it uses a DFT-relaxed cell (GGA-PBE, Alexandria) and Cu Kα.
No peak broadening, texture or thermal motion is included.

```
FeNi
1.0
2.132 -1.304 0.000
2.132 1.304 0.000
-1.927 0.000 8.214
Fe Ni
2 2
direct
0.198 0.198 0.372 Fe
0.802 0.802 0.628 Fe
0.270 0.270 0.875 Ni
0.730 0.730 0.125 Ni
```

Top 6 peaks for 15° ≤ 2θ ≤ 90°, low angle first:
43.61°, intensity 279; 44.13°, intensity 1000; 49.16°, intensity 453; 55.28°, intensity 138; 77.43°, intensity 110; 88.52°, intensity 134